[1]
For Li3Co3NiO8, a crystal structure in the Materials Project, relaxed with PBE+U gives the simulated powder X-ray diffraction pattern in this record (Cu Kα (weighted mean of Kα1 and Kα2)).
Kinematic intensities with the Lorentz-polarization factor, no thermal factor.

Cell lengths 5.7680, 5.7680, 14.6134 Å; angles 90.00, 90.00, 120.00 degrees
Space group R-3m (No. 166, hexagonal axes)
Asymmetric unit:
Li 0.0000 0.5000 0.0000 (multiplicity 9)
Co 0.0000 0.5000 0.5000 (multiplicity 9)
Ni 0.0000 0.0000 0.5000 (multiplicity 3)
O 0.0000 0.0000 0.2436 (multiplicity 6)
O 0.0147 0.5073 0.2390 (multiplicity 18)

Principal peaks in the range 10 to 90 degrees two-theta, low angle first:
| hkl | 2θ (°) | d (Å) | I (rel.) |
| --- | --- | --- | --- |
| 0 0 3 | 18.21 | 4.871 | 100 |
| 0 2 1 | 36.50 | 2.462 | 38 |
| 2 0 2 | 38.08 | 2.363 | 12 |
| 0 2 4 | 43.91 | 2.062 | 64 |
| 2 0 5 | 47.91 | 1.899 | 13 |
| 0 2 7 | 57.54 | 1.602 | 14 |
| 2 0 8 | 63.05 | 1.474 | 17 |
| 2 2 0 | 64.64 | 1.442 | 17 |
| 2 2 3 | 67.77 | 1.383 | 14 |
| 4 0 4 | 81.44 | 1.182 | 8 |

=====

[2]
For Li5Co3Ni2O10, a crystal structure in the Materials Project, relaxed with PBE+U gives the simulated powder X-ray diffraction pattern in this record (Cu Kα (weighted mean of Kα1 and Kα2)).
Kinematic intensities with the Lorentz-polarization factor, no thermal factor.

Cell lengths 5.114, 7.714, 10.160 Å; angles 108.17, 98.24, 104.72 degrees
Space group P1 (No. 1)
Asymmetric unit:
Li 0.000 0.000 0.000 (multiplicity 1)
Li 0.000 0.002 0.500 (multiplicity 1)
Li 0.112 0.714 0.101 (multiplicity 1)
Li 0.113 0.707 0.599 (multiplicity 1)
Li 0.302 0.087 0.796 (multiplicity 1)
Li 0.309 0.087 0.297 (multiplicity 1)
Li 0.694 0.915 0.704 (multiplicity 1)
Li 0.702 0.912 0.202 (multiplicity 1)
Li 0.887 0.294 0.398 (multiplicity 1)
Li 0.889 0.286 0.899 (multiplicity 1)
Co 0.187 0.386 0.701 (multiplicity 1)
Co 0.187 0.388 0.201 (multiplicity 1)
Co 0.497 0.500 0.499 (multiplicity 1)
Co 0.500 0.499 0.000 (multiplicity 1)
Co 0.811 0.611 0.799 (multiplicity 1)
Co 0.816 0.613 0.299 (multiplicity 1)
Ni 0.398 0.807 0.401 (multiplicity 1)
Ni 0.402 0.806 0.905 (multiplicity 1)
Ni 0.598 0.194 0.095 (multiplicity 1)
Ni 0.604 0.195 0.599 (multiplicity 1)
O 0.032 0.838 0.297 (multiplicity 1)
O 0.069 0.833 0.804 (multiplicity 1)
O 0.143 0.550 0.392 (multiplicity 1)
O 0.161 0.562 0.896 (multiplicity 1)
O 0.284 0.280 0.508 (multiplicity 1)
O 0.289 0.265 0.012 (multiplicity 1)
O 0.363 0.964 0.595 (multiplicity 1)
O 0.363 0.966 0.099 (multiplicity 1)
O 0.443 0.629 0.191 (multiplicity 1)
O 0.456 0.632 0.691 (multiplicity 1)
O 0.539 0.369 0.308 (multiplicity 1)
O 0.557 0.367 0.804 (multiplicity 1)
O 0.637 0.034 0.902 (multiplicity 1)
O 0.650 0.057 0.414 (multiplicity 1)
O 0.712 0.734 0.987 (multiplicity 1)
O 0.720 0.720 0.494 (multiplicity 1)
O 0.839 0.438 0.103 (multiplicity 1)
O 0.848 0.440 0.607 (multiplicity 1)
O 0.930 0.164 0.193 (multiplicity 1)
O 0.965 0.164 0.705 (multiplicity 1)

Principal peaks in the range 10 to 90 degrees two-theta, low angle first:
| hkl | 2θ (°) | d (Å) | I (rel.) |
| --- | --- | --- | --- |
| 0 1 0 | 12.74 | 6.949 | 80 |
| 1 0 0 | 18.49 | 4.799 | 41 |
| 0 1 -2 | 18.60 | 4.770 | 100 |
| 1 0 -2 | 23.10 | 3.850 | 34 |
| 1 1 2 | 37.37 | 2.407 | 31 |
| 2 -2 2 | 42.82 | 2.112 | 82 |
| -1 1 4 | 43.31 | 2.089 | 74 |
| 1 3 -2 | 44.76 | 2.025 | 63 |
| 1 -1 6 | 62.54 | 1.485 | 41 |
| 3 1 0 | 63.67 | 1.462 | 37 |

=====

[3]
For Li5Co3Ni2O10, a crystal structure in the Materials Project, relaxed with PBE+U gives the simulated powder X-ray diffraction pattern in this record (Cu Kα (weighted mean of Kα1 and Kα2)).
Kinematic intensities with the Lorentz-polarization factor, no thermal factor.

Cell lengths 5.152, 7.640, 10.186 Å; angles 103.89, 98.10, 108.99 degrees
Space group P-1 (No. 2)
Asymmetric unit:
Li 0.000 0.001 0.250 (multiplicity 2)
Li 0.204 0.910 0.502 (multiplicity 2)
Li 0.205 0.911 0.001 (multiplicity 2)
Li 0.396 0.290 0.996 (multiplicity 2)
Li 0.398 0.291 0.497 (multiplicity 2)
Co 0.000 0.500 0.000 (multiplicity 1)
Co 0.000 0.500 0.500 (multiplicity 1)
Co 0.196 0.384 0.743 (multiplicity 2)
Co 0.199 0.385 0.244 (multiplicity 2)
Ni 0.403 0.805 0.751 (multiplicity 2)
Ni 0.407 0.805 0.251 (multiplicity 2)
O 0.007 0.275 0.381 (multiplicity 2)
O 0.007 0.276 0.883 (multiplicity 2)
O 0.197 0.644 0.863 (multiplicity 2)
O 0.199 0.644 0.362 (multiplicity 2)
O 0.201 0.164 0.130 (multiplicity 2)
O 0.204 0.163 0.632 (multiplicity 2)
O 0.397 0.561 0.134 (multiplicity 2)
O 0.398 0.561 0.634 (multiplicity 2)
O 0.410 0.045 0.863 (multiplicity 2)
O 0.413 0.044 0.361 (multiplicity 2)

Principal peaks in the range 10 to 90 degrees two-theta, low angle first:
| hkl | 2θ (°) | d (Å) | I (rel.) |
| --- | --- | --- | --- |
| 0 1 0 | 12.87 | 6.879 | 72 |
| 1 -1 0 | 18.36 | 4.831 | 39 |
| 0 0 2 | 18.48 | 4.801 | 100 |
| 1 0 -2 | 23.03 | 3.862 | 30 |
| 0 0 4 | 37.48 | 2.400 | 29 |
| 1 -3 2 | 37.63 | 2.390 | 28 |
| 2 -1 2 | 42.48 | 2.128 | 82 |
| 1 2 -4 | 43.66 | 2.073 | 69 |
| -1 3 2 | 44.75 | 2.025 | 60 |
| 3 -4 0 | 63.40 | 1.467 | 36 |

=====

[4]
For Li2CoNiO4, a crystal structure in the Materials Project, relaxed with PBE+U gives the simulated powder X-ray diffraction pattern in this record (Cu Kα (weighted mean of Kα1 and Kα2)).
Kinematic intensities with the Lorentz-polarization factor, no thermal factor.

Cell lengths 9.290, 4.058, 4.221 Å; angles 90.00, 116.85, 90.00 degrees
Space group Cm (No. 8)
Asymmetric unit:
Li 0.000 0.000 0.000 (multiplicity 2)
Li 0.242 0.500 0.241 (multiplicity 2)
Co 0.496 0.000 0.498 (multiplicity 2)
Ni 0.250 0.000 0.750 (multiplicity 2)
O 0.009 0.000 0.508 (multiplicity 2)
O 0.221 0.500 0.719 (multiplicity 2)
O 0.275 0.000 0.272 (multiplicity 2)
O 0.488 0.000 0.986 (multiplicity 2)

Principal peaks in the range 10 to 90 degrees two-theta, low angle first:
| hkl | 2θ (°) | d (Å) | I (rel.) |
| --- | --- | --- | --- |
| 0 0 1 | 23.66 | 3.761 | 100 |
| 1 1 0 | 24.42 | 3.645 | 98 |
| 3 1 -1 | 37.64 | 2.390 | 42 |
| 2 0 -2 | 42.85 | 2.110 | 52 |
| 4 0 0 | 43.68 | 2.072 | 45 |
| 0 2 0 | 44.66 | 2.029 | 45 |
| 3 1 -2 | 49.94 | 1.826 | 25 |
| 0 2 1 | 51.15 | 1.786 | 22 |
| 2 2 -2 | 63.61 | 1.463 | 27 |
| 4 2 0 | 64.25 | 1.450 | 24 |

=====

[5]
For Li2Co3NiO8, a crystal structure in the Materials Project, relaxed with PBE+U gives the simulated powder X-ray diffraction pattern in this record (Cu Kα (weighted mean of Kα1 and Kα2)).
Kinematic intensities with the Lorentz-polarization factor, no thermal factor.

Cell lengths 8.042, 8.042, 8.042 Å; angles 90.00, 90.00, 90.00 degrees
Space group P4_332 (No. 212)
Asymmetric unit:
Li 0.002 0.002 0.002 (multiplicity 8)
Co 0.123 0.127 0.625 (multiplicity 12)
Ni 0.125 0.875 0.375 (multiplicity 4)
O 0.110 0.886 0.611 (multiplicity 24)
O 0.113 0.613 0.887 (multiplicity 8)

Principal peaks in the range 10 to 90 degrees two-theta, low angle first:
| hkl | 2θ (°) | d (Å) | I (rel.) |
| --- | --- | --- | --- |
| 1 1 1 | 19.11 | 4.643 | 100 |
| 3 1 1 | 37.08 | 2.425 | 48 |
| 2 2 2 | 38.79 | 2.322 | 14 |
| 4 0 0 | 45.09 | 2.011 | 53 |
| 3 3 1 | 49.40 | 1.845 | 11 |
| 5 1 1 | 59.75 | 1.548 | 20 |
| 4 4 0 | 65.68 | 1.422 | 31 |
| 5 3 1 | 69.10 | 1.359 | 14 |
| 6 2 2 | 78.97 | 1.212 | 7 |
| 4 4 4 | 83.23 | 1.161 | 8 |

=====

[6]
For Li3Co2NiO6, a crystal structure in the Materials Project, relaxed with PBE+U gives the simulated powder X-ray diffraction pattern in this record (Cu Kα (weighted mean of Kα1 and Kα2)).
Kinematic intensities with the Lorentz-polarization factor, no thermal factor.

Cell lengths 2.955, 7.661, 9.796 Å; angles 92.04, 98.30, 100.73 degrees
Space group P1 (No. 1)
Asymmetric unit:
Li 0.000 0.000 0.000 (multiplicity 1)
Li 0.156 0.823 0.495 (multiplicity 1)
Li 0.335 0.660 0.996 (multiplicity 1)
Li 0.496 0.486 0.493 (multiplicity 1)
Li 0.666 0.328 0.997 (multiplicity 1)
Li 0.836 0.173 0.501 (multiplicity 1)
Co 0.065 0.402 0.741 (multiplicity 1)
Co 0.254 0.260 0.244 (multiplicity 1)
Co 0.585 0.914 0.247 (multiplicity 1)
Co 0.757 0.747 0.750 (multiplicity 1)
Ni 0.419 0.079 0.752 (multiplicity 1)
Ni 0.919 0.580 0.249 (multiplicity 1)
O 0.043 0.218 0.865 (multiplicity 1)
O 0.096 0.620 0.636 (multiplicity 1)
O 0.196 0.026 0.350 (multiplicity 1)
O 0.294 0.448 0.126 (multiplicity 1)
O 0.405 0.861 0.866 (multiplicity 1)
O 0.453 0.288 0.626 (multiplicity 1)
O 0.537 0.721 0.358 (multiplicity 1)
O 0.631 0.113 0.138 (multiplicity 1)
O 0.701 0.553 0.855 (multiplicity 1)
O 0.790 0.932 0.638 (multiplicity 1)
O 0.863 0.361 0.366 (multiplicity 1)
O 0.975 0.808 0.141 (multiplicity 1)

Principal peaks in the range 10 to 90 degrees two-theta, low angle first:
| hkl | 2θ (°) | d (Å) | I (rel.) |
| --- | --- | --- | --- |
| 0 0 2 | 18.34 | 4.836 | 100 |
| 1 1 0 | 35.60 | 2.522 | 16 |
| -1 2 1 | 35.88 | 2.503 | 15 |
| 0 3 -1 | 36.48 | 2.463 | 12 |
| 1 -2 1 | 37.57 | 2.394 | 10 |
| 1 1 2 | 42.97 | 2.105 | 26 |
| -1 2 3 | 43.40 | 2.085 | 25 |
| 0 3 -3 | 44.35 | 2.042 | 23 |
| 0 3 5 | 62.53 | 1.485 | 7 |
| -2 1 1 | 62.92 | 1.477 | 7 |

=====

Repeat the fourth record exactly.
For Li2CoNiO4, a crystal structure in the Materials Project, relaxed with PBE+U gives the simulated powder X-ray diffraction pattern in this record (Cu Kα (weighted mean of Kα1 and Kα2)).
Kinematic intensities with the Lorentz-polarization factor, no thermal factor.

Cell lengths 9.290, 4.058, 4.221 Å; angles 90.00, 116.85, 90.00 degrees
Space group Cm (No. 8)
Asymmetric unit:
Li 0.000 0.000 0.000 (multiplicity 2)
Li 0.242 0.500 0.241 (multiplicity 2)
Co 0.496 0.000 0.498 (multiplicity 2)
Ni 0.250 0.000 0.750 (multiplicity 2)
O 0.009 0.000 0.508 (multiplicity 2)
O 0.221 0.500 0.719 (multiplicity 2)
O 0.275 0.000 0.272 (multiplicity 2)
O 0.488 0.000 0.986 (multiplicity 2)

Principal peaks in the range 10 to 90 degrees two-theta, low angle first:
| hkl | 2θ (°) | d (Å) | I (rel.) |
| --- | --- | --- | --- |
| 0 0 1 | 23.66 | 3.761 | 100 |
| 1 1 0 | 24.42 | 3.645 | 98 |
| 3 1 -1 | 37.64 | 2.390 | 42 |
| 2 0 -2 | 42.85 | 2.110 | 52 |
| 4 0 0 | 43.68 | 2.072 | 45 |
| 0 2 0 | 44.66 | 2.029 | 45 |
| 3 1 -2 | 49.94 | 1.826 | 25 |
| 0 2 1 | 51.15 | 1.786 | 22 |
| 2 2 -2 | 63.61 | 1.463 | 27 |
| 4 2 0 | 64.25 | 1.450 | 24 |